Starting from a cell relaxed with GGA-PBE, the PXRD pattern of NaAlH2CO5 was simulated for a wavelength of 1.5418 Å.
Intensities are scaled so that the largest is 100.

Crystal structure
abc: 5.641 10.516 6.783
angles: 90.00 90.00 90.00
Space group Ima2 (No. 46)
Asymmetric unit:
Na1 0.250 0.246 0.000
Al1 0.000 0.000 0.257
H1 0.250 0.534 0.057
H2 0.250 0.534 0.458
C1 0.250 0.746 0.757
O1 0.048 0.684 0.756
O2 0.250 0.024 0.074
O3 0.250 0.024 0.441
O4 0.250 0.633 0.259

Principal peaks in the range 5° ≤ 2θ ≤ 70°, by angle:
(0 1 1), 15.55°, rel. 100
(0 0 2), 26.28°, rel. 12
(1 1 2), 31.94°, rel. 61
(0 4 0), 34.10°, rel. 18
(2 1 1), 35.51°, rel. 17
(2 0 2), 41.65°, rel. 22
(0 5 1), 45.14°, rel. 18
(2 1 3), 52.60°, rel. 20
(0 0 4), 54.08°, rel. 9
(2 4 2), 54.88°, rel. 17

Starting from a cell relaxed with GGA-PBE, the PXRD pattern of Hf3Al3C5 was simulated for a wavelength of 1.5418 Å.
Intensities are scaled so that the largest is 100.

Crystal structure
abc: 3.3281 3.3281 27.5027
angles: 90.00 90.00 120.00
Space group P6_3/mmc (No. 194)
Asymmetric unit:
Hf1 0.0000 0.0000 0.0000
Hf2 0.3333 0.6667 0.0942
Al1 0.0000 0.0000 0.2500
Al2 0.3333 0.6667 0.6761
C1 0.0000 0.0000 0.1505
C2 0.3333 0.6667 0.5495
C3 0.3333 0.6667 0.7500

Principal peaks in the range 5° ≤ 2θ ≤ 70°, by angle:
(0 0 2), 6.43°, rel. 100
(0 0 10), 32.56°, rel. 33
(1 0 4), 33.72°, rel. 24
(1 0 6), 36.84°, rel. 19
(1 0 7), 38.75°, rel. 16
(1 0 8), 40.86°, rel. 8
(1 0 9), 43.14°, rel. 7
(1 1 0), 55.20°, rel. 13
(1 1 10), 65.57°, rel. 11
(1 1 12), 69.85°, rel. 7